This entry pairs a crystal structure of NaPrNi4O12 with its simulated powder diffractogram. Radiation: copper Kα. Structure: a DFT-relaxed cell (PBE+U, the Materials Project).

```
data_NaPrNi4O12
_symmetry_space_group_name_H-M 'P 4/m m m'
_symmetry_Int_Tables_number 123
_symmetry_space_group_name_Hall '-P 4 2'
_cell_length_a 5.370
_cell_length_b 5.370
_cell_length_c 7.741
_cell_angle_alpha 90.00
_cell_angle_beta 90.00
_cell_angle_gamma 90.00
loop_
_atom_site_label
_atom_site_fract_x
_atom_site_fract_y
_atom_site_fract_z
Na1 0.000 0.000 0.000
Pr1 0.500 0.500 0.500
Ni1 0.000 0.500 0.245
O1 0.000 0.500 0.000
O2 0.000 0.500 0.500
O3 0.262 0.262 0.262
```

Most intense lines, 2θ from 15° to 90°, low angle first:
(hkl)  2θ (°)  Rel. int.
1 0 0  16.51  35
1 0 1  20.12  75
1 1 0  23.43  27
1 1 2  33.05  100
2 0 0  33.37  50
2 1 1  39.28  26
0 0 4  46.95  26
2 2 0  47.91  49
3 1 2  59.43  38
2 2 4  69.33  27

***

This entry pairs a crystal structure of LiY2Fe4O8 with its simulated powder diffractogram. Radiation: copper Kα. Structure: a DFT-relaxed cell (PBE+U, the Materials Project).

```
data_LiY2Fe4O8
_symmetry_space_group_name_H-M 'P -1'
_symmetry_Int_Tables_number 2
_cell_length_a 6.091
_cell_length_b 6.203
_cell_length_c 6.627
_cell_angle_alpha 117.34
_cell_angle_beta 90.15
_cell_angle_gamma 119.36
loop_
_symmetry_equiv_pos_as_xyz
'x,y,z'
'-x,-y,-z'
loop_
_atom_site_label
_atom_site_fract_x
_atom_site_fract_y
_atom_site_fract_z
Li1 0.000 0.000 0.000
Y1 0.154 0.306 0.453
Fe1 0.000 0.500 0.000
Fe2 0.500 0.000 0.000
Fe3 0.500 0.000 0.500
Fe4 0.500 0.500 0.000
O1 0.254 0.994 0.770
O2 0.260 0.006 0.229
O3 0.274 0.547 0.282
O4 0.282 0.564 0.837
```

Most intense lines, 2θ from 15° to 90°, low angle first:
(hkl)  2θ (°)  Rel. int.
-1 1 1  26.87  34
1 1 -1  28.78  48
2 -1 0  29.32  23
1 0 -2  31.54  22
0 0 2  31.81  41
1 1 0  32.75  64
1 -2 2  33.20  67
2 -1 1  33.46  100
2 0 -1  34.26  39
2 -4 2  59.62  44

***

This entry pairs a crystal structure of Mn6O5F7 with its simulated powder diffractogram. Radiation: copper Kα. Structure: a DFT-relaxed cell (PBE+U, the Materials Project).

```
data_Mn6O5F7
_symmetry_space_group_name_H-M 'C 1 m 1'
_symmetry_Int_Tables_number 8
_cell_length_a 9.203
_cell_length_b 6.864
_cell_length_c 7.363
_cell_angle_alpha 90.00
_cell_angle_beta 111.70
_cell_angle_gamma 90.00
loop_
_symmetry_equiv_pos_as_xyz
'x,y,z'
'x,-y,z'
'x+1/2,y+1/2,z'
'x+1/2,-y+1/2,z'
loop_
_atom_site_label
_atom_site_fract_x
_atom_site_fract_y
_atom_site_fract_z
Mn1 0.000 0.000 0.000
Mn2 0.008 0.000 0.496
Mn3 0.146 0.500 0.162
Mn4 0.187 0.500 0.648
Mn5 0.331 0.000 0.331
Mn6 0.356 0.000 0.845
O1 0.004 0.313 0.002
O2 0.061 0.500 0.364
O3 0.106 0.000 0.299
O4 0.411 0.500 0.699
F1 0.190 0.186 0.680
F2 0.237 0.000 0.037
F3 0.259 0.500 0.956
F4 0.323 0.315 0.319
F5 0.453 0.000 0.625
```

Most intense lines, 2θ from 15° to 90°, low angle first:
(hkl)  2θ (°)  Rel. int.
0 2 0  25.96  100
2 0 -2  26.69  87
3 1 0  34.06  42
1 1 2  34.22  44
3 3 0  51.20  30
1 3 2  51.31  31
5 1 -2  51.89  24
1 1 -4  52.25  26
5 3 -2  65.47  23
1 3 -4  65.77  21